No. 1
Computed X-ray diffraction stick pattern
Compound: DyGa6Co2
Radiation: Cu Kα
Structure: DFT lattice parameters and positions (GGA-PBE)

a = 11.4010 Å, b = 11.4010 Å, c = 11.4010 Å
α = 90.00°, β = 90.00°, γ = 90.00°
Space group Fd-3m (No. 227, origin choice 2)
Inequivalent atoms, fractional coordinates:
Dy 0.1250 0.1250 0.1250 x8
Ga 0.1028 0.3750 0.8750 x48
Co 0.0000 0.0000 0.5000 x16

Top 8 peaks for 10° ≤ 2θ ≤ 90°, sorted by position:
| (hkl) | two_theta | intensity |
| --- | --- | --- |
| 3 1 1 | 25.92 | 69 |
| 4 0 0 | 31.39 | 61 |
| 3 3 1 | 34.28 | 14 |
| 3 3 3 | 41.14 | 21 |
| 4 4 0 | 44.98 | 100 |
| 7 3 1 | 62.58 | 27 |
| 8 0 0 | 65.50 | 14 |
| 8 4 4 | 82.99 | 24 |

No. 2
Computed X-ray diffraction stick pattern
Compound: Dy6GaCo
Radiation: Cu Kα
Structure: DFT lattice parameters and positions (GGA-PBE)

```
data_Dy6GaCo
_chemical_formula_sum 'Dy12 Ga2 Co2'
_cell_length_a 7.1340
_cell_length_b 10.4586
_cell_length_c 6.4727
_cell_angle_alpha 90.00
_cell_angle_beta 105.41
_cell_angle_gamma 90.00
_symmetry_space_group_name_H-M 'C 1 2/m 1'
_symmetry_Int_Tables_number 12
_symmetry_space_group_name_Hall '-C 2y'
loop_
_atom_site_label
_atom_site_fract_x
_atom_site_fract_y
_atom_site_fract_z
Dy1 0.1798 0.1789 0.2535
Dy2 0.2315 0.5000 0.1881
Ga1 0.0000 0.5000 0.5000
Co1 0.0000 0.0000 0.0000
```

Top 8 peaks for 10° ≤ 2θ ≤ 90°, sorted by position:
| (hkl) | two_theta | intensity |
| --- | --- | --- |
| 2 0 0 | 25.91 | 34 |
| 0 0 2 | 28.64 | 58 |
| 1 3 -1 | 30.54 | 71 |
| 2 0 1 | 32.91 | 26 |
| 2 0 -2 | 33.25 | 34 |
| 1 3 1 | 33.71 | 100 |
| 3 3 0 | 47.47 | 20 |
| 1 3 -3 | 49.72 | 24 |

No. 3
Computed X-ray diffraction stick pattern
Compound: Dy2Ga3Co4
Radiation: Cu Kα
Structure: DFT lattice parameters and positions (GGA-PBE)

```
data_Dy2Ga3Co4
_chemical_formula_sum 'Dy8 Ga12 Co16'
_cell_length_a 5.3848
_cell_length_b 14.9744
_cell_length_c 6.8874
_cell_angle_alpha 90.00
_cell_angle_beta 90.00
_cell_angle_gamma 90.00
_symmetry_space_group_name_H-M 'C m c e'
_symmetry_Int_Tables_number 64
_symmetry_space_group_name_Hall '-C 2ac 2'
loop_
_atom_site_label
_atom_site_fract_x
_atom_site_fract_y
_atom_site_fract_z
Dy1 0.0000 0.1042 0.0854
Ga1 0.0000 0.0000 0.5000
Ga2 0.2500 0.2350 0.7500
Co1 0.0000 0.1703 0.4925
Co2 0.2500 0.0728 0.7500
```

Top 8 peaks for 10° ≤ 2θ ≤ 90°, sorted by position:
| (hkl) | two_theta | intensity |
| --- | --- | --- |
| 0 4 2 | 35.42 | 22 |
| 1 3 2 | 35.80 | 41 |
| 1 5 1 | 36.73 | 100 |
| 2 2 1 | 37.84 | 44 |
| 0 2 3 | 41.12 | 42 |
| 2 4 0 | 41.30 | 27 |
| 2 0 2 | 42.62 | 71 |
| 3 5 1 | 61.74 | 23 |

No. 4
Computed X-ray diffraction stick pattern
Compound: Dy2Ga3Co
Radiation: Cu Kα
Structure: DFT lattice parameters and positions (GGA-PBE)

```
data_Dy2Ga3Co
_chemical_formula_sum 'Dy4 Ga6 Co2'
_cell_length_a 10.2803
_cell_length_b 4.2678
_cell_length_c 7.0578
_cell_angle_alpha 90.00
_cell_angle_beta 131.90
_cell_angle_gamma 90.00
_symmetry_space_group_name_H-M 'C 1 m 1'
_symmetry_Int_Tables_number 8
_symmetry_space_group_name_Hall 'C -2y'
loop_
_atom_site_label
_atom_site_fract_x
_atom_site_fract_y
_atom_site_fract_z
Dy1 0.0000 0.0000 0.0000
Dy2 0.0975 0.0000 0.6004
Ga1 0.1952 0.5000 0.9845
Ga2 0.2263 0.5000 0.4248
Ga3 0.3806 0.0000 0.2134
Co1 0.3862 0.0000 0.5984
```

Top 8 peaks for 10° ≤ 2θ ≤ 90°, sorted by position:
| (hkl) | two_theta | intensity |
| --- | --- | --- |
| 1 1 0 | 23.87 | 31 |
| 1 1 1 | 33.71 | 29 |
| 0 0 2 | 34.15 | 68 |
| 1 1 -2 | 34.80 | 100 |
| 4 0 -2 | 35.03 | 36 |
| 3 1 -2 | 35.24 | 64 |
| 3 1 0 | 41.24 | 65 |
| 0 2 0 | 42.36 | 49 |

No. 5
Computed X-ray diffraction stick pattern
Compound: DyGa2CoRu
Radiation: Cu Kα
Structure: DFT lattice parameters and positions (GGA-PBE)

```
data_DyGa2CoRu
_chemical_formula_sum 'Dy2 Ga4 Co2 Ru2'
_cell_length_a 4.2429
_cell_length_b 4.2429
_cell_length_c 9.6123
_cell_angle_alpha 90.00
_cell_angle_beta 90.00
_cell_angle_gamma 90.00
_symmetry_space_group_name_H-M 'I -4 m 2'
_symmetry_Int_Tables_number 119
_symmetry_space_group_name_Hall 'I -4 -2'
loop_
_atom_site_label
_atom_site_fract_x
_atom_site_fract_y
_atom_site_fract_z
Dy1 0.0000 0.0000 0.0000
Ga1 0.0000 0.0000 0.3681
Co1 0.0000 0.5000 0.2500
Ru1 0.0000 0.5000 0.7500
```

Top 8 peaks for 10° ≤ 2θ ≤ 90°, sorted by position:
| (hkl) | two_theta | intensity |
| --- | --- | --- |
| 1 0 3 | 35.10 | 81 |
| 1 1 2 | 35.27 | 100 |
| 2 0 0 | 42.62 | 67 |
| 1 0 5 | 52.24 | 20 |
| 2 1 3 | 56.35 | 41 |
| 2 2 0 | 61.85 | 22 |
| 1 1 6 | 66.12 | 21 |
| 3 1 2 | 73.25 | 23 |

No. 6
Computed X-ray diffraction stick pattern
Compound: Dy2Ga5CoRu2
Radiation: Cu Kα
Structure: DFT lattice parameters and positions (GGA-PBE)

```
data_Dy2Ga5CoRu2
_chemical_formula_sum 'Dy4 Ga10 Co2 Ru4'
_cell_length_a 10.4137
_cell_length_b 10.4137
_cell_length_c 3.1495
_cell_angle_alpha 90.00
_cell_angle_beta 90.00
_cell_angle_gamma 90.00
_symmetry_space_group_name_H-M 'P 4/m b m'
_symmetry_Int_Tables_number 127
_symmetry_space_group_name_Hall '-P 4 2ab'
loop_
_atom_site_label
_atom_site_fract_x
_atom_site_fract_y
_atom_site_fract_z
Dy1 0.1805 0.3195 0.0000
Ga1 0.0000 0.5000 0.5000
Ga2 0.0543 0.8163 0.5000
Co1 0.0000 0.0000 0.0000
Ru1 0.1306 0.6306 0.0000
```

Top 8 peaks for 10° ≤ 2θ ≤ 90°, sorted by position:
| (hkl) | two_theta | intensity |
| --- | --- | --- |
| 2 0 1 | 33.25 | 22 |
| 4 1 0 | 35.54 | 59 |
| 3 3 0 | 36.61 | 46 |
| 2 2 1 | 37.58 | 19 |
| 3 1 1 | 39.60 | 100 |
| 3 2 1 | 42.47 | 36 |
| 6 0 0 | 52.72 | 18 |
| 6 1 1 | 61.67 | 17 |

No. 7
Computed X-ray diffraction stick pattern
Compound: DyZnGa2Co2
Radiation: Cu Kα
Structure: DFT lattice parameters and positions (GGA-PBE)

```
data_DyZnGa2Co2
_chemical_formula_sum 'Dy1 Zn1 Ga2 Co2'
_cell_length_a 4.3695
_cell_length_b 4.3695
_cell_length_c 5.4225
_cell_angle_alpha 90.00
_cell_angle_beta 90.00
_cell_angle_gamma 90.00
_symmetry_space_group_name_H-M 'P 4/m m m'
_symmetry_Int_Tables_number 123
_symmetry_space_group_name_Hall '-P 4 2'
loop_
_atom_site_label
_atom_site_fract_x
_atom_site_fract_y
_atom_site_fract_z
Dy1 0.0000 0.0000 0.0000
Zn1 0.0000 0.0000 0.5000
Ga1 0.5000 0.5000 0.2477
Co1 0.0000 0.5000 0.5000
```

Top 8 peaks for 10° ≤ 2θ ≤ 90°, sorted by position:
| (hkl) | two_theta | intensity |
| --- | --- | --- |
| 1 1 0 | 28.90 | 50 |
| 1 1 1 | 33.38 | 50 |
| 1 0 2 | 39.10 | 100 |
| 2 0 0 | 41.33 | 75 |
| 2 1 2 | 58.20 | 61 |
| 2 2 0 | 59.87 | 24 |
| 2 0 4 | 84.02 | 18 |
| 3 2 2 | 88.34 | 19 |

No. 8
Computed X-ray diffraction stick pattern
Compound: Dy2CoGe2
Radiation: Cu Kα
Structure: DFT lattice parameters and positions (GGA-PBE)

```
data_Dy2CoGe2
_chemical_formula_sum 'Dy4 Co2 Ge4'
_cell_length_a 4.1930
_cell_length_b 5.6254
_cell_length_c 9.3006
_cell_angle_alpha 88.11
_cell_angle_beta 77.00
_cell_angle_gamma 68.16
_symmetry_space_group_name_H-M 'P -1'
_symmetry_Int_Tables_number 2
_symmetry_space_group_name_Hall '-P 1'
loop_
_atom_site_label
_atom_site_fract_x
_atom_site_fract_y
_atom_site_fract_z
Dy1 0.0730 0.2379 0.1159
Dy2 0.3272 0.1787 0.6672
Co1 0.3820 0.3936 0.3444
Ge1 0.0966 0.7445 0.5608
Ge2 0.3635 0.6505 0.1222
```

Top 8 peaks for 10° ≤ 2θ ≤ 90°, sorted by position:
| (hkl) | two_theta | intensity |
| --- | --- | --- |
| 1 0 3 | 33.47 | 78 |
| 1 2 0 | 33.65 | 69 |
| 1 0 -2 | 34.19 | 100 |
| 0 2 0 | 34.40 | 46 |
| -1 1 1 | 37.35 | 46 |
| 0 0 4 | 39.85 | 32 |
| 1 2 -2 | 41.08 | 62 |
| 2 1 1 | 43.15 | 59 |